Diffraction record for LuCoGe. The powder XRD pattern is computed, not measured: it uses a DFT-relaxed cell (GGA-PBE, the Materials Project) and copper Kα.

Most intense lines, 10 to 90 degrees two-theta, sorted by position:
- 24.64 deg, rel. 25
- 35.56 deg, rel. 44
- 36.49 deg, rel. 100
- 36.61 deg, rel. 38
- 42.20 deg, rel. 16
- 43.28 deg, rel. 32
- 43.59 deg, rel. 39
- 57.94 deg, rel. 20
- 60.73 deg, rel. 16
- 70.93 deg, rel. 20

Structure:
a b c (Å): 6.731 4.181 7.177
angles (deg): 90.00 90.00 90.00
Space group Pnma (No. 62)
One atom of each set of equivalent atoms:
Lu 0.010 0.250 0.203
Co 0.188 0.750 0.417
Ge 0.197 0.250 0.589